[1]
Diffraction record for Er3Lu5Te. The XRD peak list is calculated, not measured: it uses a cell relaxed with PBE and Cu Kα, 1.54184 Å.

Structural model:
Cell: 9.0488 9.0488 3.7045 Å, 90.00 90.00 120.00°
Space group P-62m (No. 189)
Unique sites:
Er: 0.0000 0.6139 0.0000 [3 per cell]
Lu: 0.0000 0.2773 0.5000 [3 per cell]
Lu: 0.3333 0.6667 0.5000 [2 per cell]
Te: 0.0000 0.0000 0.0000 [1 per cell]

The 10 most intense peaks (2θ = 10–80°), by angle:
| 2θ (°) | I/Imax |
| --- | --- |
| 30.2 | 39 |
| 31.2 | 100 |
| 33.3 | 56 |
| 34.3 | 79 |
| 38.9 | 27 |
| 47.1 | 14 |
| 49.2 | 16 |
| 56.9 | 37 |
| 61.4 | 30 |
| 64.6 | 14 |


[2]
Diffraction record for Sm3P2N. The XRD peak list is calculated, not measured: it uses a cell relaxed with PBE and Cu Kα, 1.54184 Å.

Structural model:
Cell: 3.8985 3.8985 9.7614 Å, 90.00 90.00 120.00°
Space group P-3m1 (No. 164)
Unique sites:
Sm: 0.0000 0.0000 0.0000 [1 per cell]
Sm: 0.3333 0.6667 0.6417 [2 per cell]
P: 0.3333 0.6667 0.1784 [2 per cell]
N: 0.0000 0.0000 0.5000 [1 per cell]

The 10 most intense peaks (2θ = 10–80°), by angle:
| 2θ (°) | I/Imax |
| --- | --- |
| 27.4 | 22 |
| 28.0 | 75 |
| 32.2 | 100 |
| 45.9 | 33 |
| 46.6 | 40 |
| 54.9 | 20 |
| 55.2 | 12 |
| 57.8 | 18 |
| 67.5 | 10 |
| 77.3 | 16 |


[3]
Diffraction record for SmInPt. The XRD peak list is calculated, not measured: it uses a cell relaxed with PBE and Cu Kα, 1.54184 Å.

Structural model:
Cell: 7.5572 7.5572 4.1080 Å, 90.00 90.00 120.00°
Space group P-62m (No. 189)
Unique sites:
Sm: 0.0000 0.5900 0.0000 [3 per cell]
In: 0.0000 0.2535 0.5000 [3 per cell]
Pt: 0.0000 0.0000 0.0000 [1 per cell]
Pt: 0.3333 0.6667 0.5000 [2 per cell]

The 10 most intense peaks (2θ = 10–80°), by angle:
| 2θ (°) | I/Imax |
| --- | --- |
| 23.5 | 16 |
| 32.2 | 74 |
| 35.1 | 100 |
| 36.3 | 32 |
| 41.4 | 42 |
| 42.7 | 39 |
| 44.1 | 28 |
| 58.4 | 16 |
| 62.1 | 26 |
| 66.3 | 31 |


[4]
Diffraction record for Au. The XRD peak list is calculated, not measured: it uses a cell relaxed with PBE and Cu Kα, 1.54184 Å.

Structural model:
Cell: 2.9191 2.9191 21.6246 Å, 90.00 90.00 120.00°
Space group R-3m (No. 166, hexagonal axes)
Unique sites:
Au: 0.0000 0.0000 0.0000 [3 per cell]
Au: 0.0000 0.0000 0.2224 [6 per cell]

The 10 most intense peaks (2θ = 10–80°), by angle:
| 2θ (°) | I/Imax |
| --- | --- |
| 35.8 | 36 |
| 36.5 | 15 |
| 37.4 | 53 |
| 39.3 | 100 |
| 41.4 | 86 |
| 49.4 | 15 |
| 63.8 | 34 |
| 67.4 | 21 |
| 71.6 | 17 |
| 76.3 | 42 |


[5]
Diffraction record for Pd2Br3Cl3. The XRD peak list is calculated, not measured: it uses a cell relaxed with PBE and Cu Kα, 1.54184 Å.

Structural model:
Cell: 6.1393 11.3837 6.5369 Å, 90.00 90.00 90.00°
Space group Amm2 (No. 38)
Unique sites:
Pd: 0.2496 0.0000 0.0000 [4 per cell]
Br: 0.0000 0.0000 0.6886 [2 per cell]
Br: 0.5000 0.1556 0.8451 [4 per cell]
Cl: 0.0000 0.1455 0.1475 [4 per cell]
Cl: 0.5000 0.0000 0.2914 [2 per cell]

The 10 most intense peaks (2θ = 10–80°), by angle:
| 2θ (°) | I/Imax |
| --- | --- |
| 15.6 | 100 |
| 30.9 | 32 |
| 31.0 | 16 |
| 33.2 | 16 |
| 40.3 | 39 |
| 43.4 | 17 |
| 47.9 | 7 |
| 48.2 | 14 |
| 52.0 | 11 |
| 52.7 | 10 |


[6]
Diffraction record for ZrS2. The XRD peak list is calculated, not measured: it uses a cell relaxed with PBE and Cu Kα, 1.54184 Å.

Structural model:
Cell: 3.5729 6.1895 34.8093 Å, 90.00 90.00 90.00°
Space group C222_1 (No. 20)
Unique sites:
Zr: 0.2404 0.0006 0.4114 [8 per cell]
S: 0.2404 0.3339 0.3661 [8 per cell]
S: 0.2404 0.3339 0.4567 [8 per cell]

The 10 most intense peaks (2θ = 10–80°), by angle:
| 2θ (°) | I/Imax |
| --- | --- |
| 10.2 | 100 |
| 15.3 | 48 |
| 29.0 | 18 |
| 31.6 | 32 |
| 32.8 | 20 |
| 34.1 | 24 |
| 38.9 | 15 |
| 40.8 | 36 |
| 42.7 | 14 |
| 51.2 | 27 |


[7]
Diffraction record for Zn2Cd. The XRD peak list is calculated, not measured: it uses a cell relaxed with PBE and Cu Kα, 1.54184 Å.

Structural model:
Cell: 7.4732 4.8865 11.4310 Å, 90.00 100.83 90.00°
Space group P2_1/m (No. 11)
Unique sites:
Zn: 0.0390 0.2500 0.3176 [2 per cell]
Zn: 0.0526 0.2500 0.0735 [2 per cell]
Zn: 0.0573 0.2500 0.8275 [2 per cell]
Zn: 0.0587 0.2500 0.5567 [2 per cell]
Zn: 0.2654 0.7500 0.8444 [2 per cell]
Zn: 0.2667 0.7500 0.5960 [2 per cell]
Zn: 0.3871 0.2500 0.9844 [2 per cell]
Zn: 0.3912 0.2500 0.4876 [2 per cell]
Cd: 0.2621 0.7500 0.3539 [2 per cell]
Cd: 0.2724 0.7500 0.0877 [2 per cell]
Cd: 0.3706 0.2500 0.7329 [2 per cell]
Cd: 0.3899 0.2500 0.2382 [2 per cell]

The 10 most intense peaks (2θ = 10–80°), by angle:
| 2θ (°) | I/Imax |
| --- | --- |
| 36.4 | 12 |
| 36.5 | 12 |
| 36.8 | 58 |
| 41.0 | 100 |
| 41.3 | 51 |
| 52.7 | 16 |
| 69.1 | 20 |
| 69.3 | 10 |
| 77.4 | 10 |
| 78.1 | 10 |


[8]
Diffraction record for CsAuSeO. The XRD peak list is calculated, not measured: it uses a cell relaxed with PBE and Cu Kα, 1.54184 Å.

Structural model:
Cell: 6.0325 8.0564 9.6193 Å, 90.00 102.79 90.00°
Space group P2_1/c (No. 14)
Unique sites:
Cs: 0.0772 0.2102 0.4207 [4 per cell]
Au: 0.4630 0.5178 0.7516 [4 per cell]
Se: 0.3464 0.6257 0.4054 [4 per cell]
O: 0.2488 0.6594 0.8462 [4 per cell]

The 10 most intense peaks (2θ = 10–80°), by angle:
| 2θ (°) | I/Imax |
| --- | --- |
| 15.1 | 18 |
| 24.2 | 19 |
| 26.8 | 100 |
| 29.2 | 34 |
| 31.0 | 16 |
| 32.4 | 11 |
| 38.0 | 12 |
| 44.7 | 11 |
| 45.8 | 13 |
| 50.4 | 15 |


[9]
Diffraction record for Dy3Mg4. The XRD peak list is calculated, not measured: it uses a cell relaxed with PBE and Cu Kα, 1.54184 Å.

Structural model:
Cell: 9.0616 9.0616 5.3117 Å, 90.00 90.00 120.00°
Space group P6_3/m (No. 176)
Unique sites:
Dy: 0.0985 0.4659 0.2500 [6 per cell]
Mg: 0.0473 0.2332 0.7500 [6 per cell]
Mg: 0.3333 0.6667 0.7500 [2 per cell]

The 10 most intense peaks (2θ = 10–80°), by angle:
| 2θ (°) | I/Imax |
| --- | --- |
| 11.3 | 32 |
| 20.2 | 34 |
| 25.8 | 35 |
| 30.1 | 41 |
| 33.7 | 24 |
| 34.6 | 100 |
| 45.9 | 26 |
| 53.5 | 18 |
| 60.9 | 19 |
| 64.8 | 21 |


[10]
Diffraction record for Hf2ZnInNi4. The XRD peak list is calculated, not measured: it uses a cell relaxed with PBE and Cu Kα, 1.54184 Å.

Structural model:
Cell: 4.1823 4.1823 7.9707 Å, 90.00 90.00 120.00°
Space group P-3m1 (No. 164)
Unique sites:
Hf: 0.3333 0.6667 0.2580 [2 per cell]
Zn: 0.0000 0.0000 0.5000 [1 per cell]
In: 0.0000 0.0000 0.0000 [1 per cell]
Ni: 0.3333 0.6667 0.5862 [2 per cell]
Ni: 0.3333 0.6667 0.9032 [2 per cell]

The 10 most intense peaks (2θ = 10–80°), by angle:
| 2θ (°) | I/Imax |
| --- | --- |
| 27.0 | 39 |
| 33.4 | 62 |
| 42.2 | 92 |
| 43.3 | 100 |
| 55.8 | 14 |
| 62.0 | 29 |
| 64.6 | 13 |
| 73.1 | 13 |
| 78.6 | 28 |
| 79.4 | 16 |


[11]
Diffraction record for TmAgSnTe3. The XRD peak list is calculated, not measured: it uses a cell relaxed with PBE and Cu Kα, 1.54184 Å.

Structural model:
Cell: 4.2925 14.6641 11.0666 Å, 90.00 90.00 90.00°
Space group Cmcm (No. 63)
Unique sites:
Tm: 0.0000 0.0000 0.0000 [4 per cell]
Ag: 0.0000 0.4717 0.2500 [4 per cell]
Sn: 0.0000 0.2290 0.7500 [4 per cell]
Te: 0.0000 0.0966 0.2500 [4 per cell]
Te: 0.0000 0.3536 0.0525 [8 per cell]

The 10 most intense peaks (2θ = 10–80°), by angle:
| 2θ (°) | I/Imax |
| --- | --- |
| 12.1 | 17 |
| 27.1 | 18 |
| 28.8 | 49 |
| 32.1 | 100 |
| 32.4 | 31 |
| 40.3 | 20 |
| 40.7 | 18 |
| 42.1 | 26 |
| 50.0 | 17 |
| 70.6 | 16 |


[12]
Diffraction record for ErZr6Sn4. The XRD peak list is calculated, not measured: it uses a cell relaxed with PBE and Cu Kα, 1.54184 Å.

Structural model:
Cell: 6.0977 6.0977 23.9981 Å, 90.00 90.00 120.00°
Space group R-3m (No. 166, hexagonal axes)
Unique sites:
Er: 0.0000 0.0000 0.0000 [3 per cell]
Zr: 0.0022 0.5011 0.1049 [18 per cell]
Sn: 0.0000 0.0000 0.1234 [6 per cell]
Sn: 0.0000 0.0000 0.3328 [6 per cell]

The 10 most intense peaks (2θ = 10–80°), by angle:
| 2θ (°) | I/Imax |
| --- | --- |
| 29.3 | 73 |
| 31.4 | 57 |
| 33.6 | 100 |
| 34.2 | 100 |
| 37.1 | 100 |
| 37.2 | 85 |
| 38.9 | 77 |
| 45.2 | 38 |
| 60.8 | 63 |
| 71.3 | 68 |